Theoretical PXRD pattern of V5CoP6O24 for Cu Kα (λ = 1.5418 Å), from a structure optimized by DFT (GGA+U).

Crystal structure
```
data_V5CoP6O24
_space_group_name_H-M_alt 'R 3'
_space_group_IT_number 146
_space_group_name_Hall 'R 3'
_cell_length_a 8.6220
_cell_length_b 8.6220
_cell_length_c 20.8419
_cell_angle_alpha 90.00
_cell_angle_beta 90.00
_cell_angle_gamma 120.00
loop_
_atom_site_label
_atom_site_fract_x
_atom_site_fract_y
_atom_site_fract_z
V1 0.0000 0.0000 0.0000
V2 0.0000 0.0000 0.1443
V3 0.0000 0.0000 0.2891
V4 0.0000 0.0000 0.5027
V5 0.0000 0.0000 0.6467
Co1 0.0000 0.0000 0.7897
P1 0.0001 0.2936 0.3942
P2 0.0003 0.7074 0.8945
O1 0.0092 0.8138 0.9554
O2 0.0141 0.1795 0.0651
O3 0.0193 0.8340 0.5714
O4 0.1351 0.6698 0.4996
O5 0.1384 0.4680 0.1215
O6 0.1466 0.4712 0.9999
O7 0.1686 0.4801 0.3857
O8 0.1688 0.6830 0.8901
```

Main lines, low angle first (5 to 70 degrees two-theta):
2θ/deg  Rel. int.  (hkl)
20.6  67  1 1 0
24.3  100  1 1 3
33.1  60  2 -1 6
36.1  31  3 0 0
47.5  26  3 -2 8
49.8  23  4 -2 6